Entry 1:
Structure and calculated powder diffractogram of CaIn6Ag12 (a crystal structure in Alexandria, relaxed with PBE; Cu Kα (weighted mean of Kα1 and Kα2)).

Main lines, in order of falling intensity (2θ from 10° to 90°):
- 2θ = 37.67°, intensity 1000, hkl 3 2 1
- 2θ = 38.01°, intensity 821, hkl 0 3 3
- 2θ = 31.44°, intensity 643, hkl 1 3 1
- 2θ = 41.27°, intensity 520, hkl 2 3 2
- 2θ = 46.37°, intensity 491, hkl 5 0 2
- 2θ = 41.73°, intensity 467, hkl 0 2 4
- 2θ = 31.83°, intensity 390, hkl 1 1 3
- 2θ = 73.50°, intensity 259, hkl 3 5 4
- 2θ = 20.52°, intensity 216, hkl 0 1 2
- 2θ = 38.35°, intensity 179, hkl 4 1 0

Atomic structure:
```
data_CaIn6Ag12
_chemical_formula_sum 'Ca3 In18 Ag36'
_symmetry_space_group_name_H-M 'R -3 m'
_symmetry_Int_Tables_number 166
_symmetry_space_group_name_Hall '-R 3 2"'
_cell_length_a 12.4200
_cell_length_b 12.4200
_cell_length_c 9.4578
_cell_angle_alpha 90.00
_cell_angle_beta 90.00
_cell_angle_gamma 120.00
loop_
_atom_site_label
_atom_site_type_symbol
_atom_site_fract_x
_atom_site_fract_y
_atom_site_fract_z
_atom_site_occupancy
Ca1 Ca 0.0000 0.0000 0.0000 1
In1 In 0.0621 0.5311 0.2376 1
Ag1 Ag 0.0000 0.3890 0.5000 1
Ag2 Ag 0.0799 0.1599 0.2762 1
```



Entry 2:
Structure and calculated powder diffractogram of YHo4Au5 (a crystal structure in Alexandria, relaxed with PBE; Cu Kα (weighted mean of Kα1 and Kα2)).

Main lines, in order of falling intensity (2θ from 10° to 90°):
- 2θ = 35.25°, intensity 1000, hkl 1 0 5
- 2θ = 35.66°, intensity 485, hkl 1 1 0
- 2θ = 63.80°, intensity 362, hkl 2 1 5
- 2θ = 62.99°, intensity 187, hkl 1 1 10
- 2θ = 51.33°, intensity 174, hkl 2 0 0
- 2θ = 74.54°, intensity 116, hkl 2 0 10
- 2θ = 50.08°, intensity 93, hkl 0 0 10
- 2θ = 84.26°, intensity 86, hkl 1 0 15
- 2θ = 86.19°, intensity 82, hkl 3 0 5
- 2θ = 86.43°, intensity 82, hkl 3 1 0

Atomic structure:
```
data_YHo4Au5
_chemical_formula_sum 'Y1 Ho4 Au5'
_symmetry_space_group_name_H-M 'P 4/m m m'
_symmetry_Int_Tables_number 123
_symmetry_space_group_name_Hall '-P 4 2'
_cell_length_a 3.560
_cell_length_b 3.560
_cell_length_c 18.213
_cell_angle_alpha 90.00
_cell_angle_beta 90.00
_cell_angle_gamma 90.00
loop_
_atom_site_label
_atom_site_type_symbol
_atom_site_fract_x
_atom_site_fract_y
_atom_site_fract_z
_atom_site_occupancy
Y1 Y 0.000 0.000 0.000 1
Ho1 Ho 0.000 0.000 0.201 1
Ho2 Ho 0.000 0.000 0.400 1
Au1 Au 0.500 0.500 0.102 1
Au2 Au 0.500 0.500 0.300 1
Au3 Au 0.500 0.500 0.500 1
```



Entry 3:
Structure and calculated powder diffractogram of Tb3Pm (a crystal structure in Alexandria, relaxed with PBE; Cu Kα (weighted mean of Kα1 and Kα2)).

Main lines, in order of falling intensity (2θ from 10° to 90°):
- 2θ = 30.57°, intensity 1000, hkl 1 1 1
- 2θ = 35.44°, intensity 506, hkl 2 0 0
- 2θ = 60.63°, intensity 429, hkl 3 1 1
- 2θ = 51.00°, intensity 361, hkl 2 2 0
- 2θ = 83.12°, intensity 177, hkl 3 3 1
- 2θ = 85.79°, intensity 166, hkl 4 2 0
- 2θ = 63.64°, intensity 124, hkl 2 2 2
- 2θ = 75.00°, intensity 57, hkl 4 0 0

Atomic structure:
```
data_Tb3Pm
_chemical_formula_sum 'Tb3 Pm1'
_symmetry_space_group_name_H-M 'P m -3 m'
_symmetry_Int_Tables_number 221
_symmetry_space_group_name_Hall '-P 4 2 3'
_cell_length_a 5.065
_cell_length_b 5.065
_cell_length_c 5.065
_cell_angle_alpha 90.00
_cell_angle_beta 90.00
_cell_angle_gamma 90.00
loop_
_atom_site_label
_atom_site_type_symbol
_atom_site_fract_x
_atom_site_fract_y
_atom_site_fract_z
_atom_site_occupancy
Tb1 Tb 0.000 0.000 0.500 1
Pm1 Pm 0.500 0.500 0.500 1
```



Entry 4:
Structure and calculated powder diffractogram of AlCu2Pd (a crystal structure in Alexandria, relaxed with PBE; Cu Kα (weighted mean of Kα1 and Kα2)).

Main lines, in order of falling intensity (2θ from 10° to 90°):
- 2θ = 41.19°, intensity 1000, hkl 0 1 2
- 2θ = 41.76°, intensity 812, hkl 2 1 0
- 2θ = 46.36°, intensity 359, hkl 0 2 0
- 2θ = 48.54°, intensity 256, hkl 2 0 -2
- 2θ = 49.86°, intensity 229, hkl 2 0 2
- 2θ = 28.55°, intensity 204, hkl 1 1 0
- 2θ = 69.37°, intensity 166, hkl 2 2 -2
- 2θ = 33.06°, intensity 165, hkl 1 1 -1
- 2θ = 70.44°, intensity 153, hkl 2 2 2
- 2θ = 24.33°, intensity 152, hkl 1 0 1

Atomic structure:
```
data_AlCu2Pd
_chemical_formula_sum 'Al2 Cu4 Pd2'
_symmetry_space_group_name_H-M 'P 1 21/m 1'
_symmetry_Int_Tables_number 11
_symmetry_space_group_name_Hall '-P 2yb'
_cell_length_a 5.190
_cell_length_b 3.917
_cell_length_c 5.290
_cell_angle_alpha 90.00
_cell_angle_beta 91.44
_cell_angle_gamma 90.00
loop_
_atom_site_label
_atom_site_type_symbol
_atom_site_fract_x
_atom_site_fract_y
_atom_site_fract_z
_atom_site_occupancy
Al1 Al 0.163 0.250 0.353 1
Cu1 Cu 0.100 0.250 0.876 1
Cu2 Cu 0.392 0.750 0.113 1
Pd1 Pd 0.330 0.750 0.614 1
```



Entry 5:
Structure and calculated powder diffractogram of CdIn5Hg (a crystal structure in Alexandria, relaxed with PBE; Cu Kα (weighted mean of Kα1 and Kα2)).

Main lines, in order of falling intensity (2θ from 10° to 90°):
- 2θ = 33.09°, intensity 1000, hkl 1 2 1
- 2θ = 33.88°, intensity 757, hkl 2 1 1
- 2θ = 34.33°, intensity 542, hkl 2 0 2
- 2θ = 29.75°, intensity 490, hkl 0 1 3
- 2θ = 33.28°, intensity 359, hkl 0 2 2
- 2θ = 42.32°, intensity 349, hkl 2 1 3
- 2θ = 40.83°, intensity 333, hkl 1 1 4
- 2θ = 35.07°, intensity 314, hkl 0 0 4
- 2θ = 30.04°, intensity 313, hkl 1 0 3
- 2θ = 41.67°, intensity 296, hkl 1 2 3

Atomic structure:
```
data_CdIn5Hg
_chemical_formula_sum 'Cd2 In10 Hg2'
_symmetry_space_group_name_H-M 'I m m 2'
_symmetry_Int_Tables_number 44
_symmetry_space_group_name_Hall 'I 2 -2'
_cell_length_a 6.076
_cell_length_b 6.330
_cell_length_c 10.236
_cell_angle_alpha 90.00
_cell_angle_beta 90.00
_cell_angle_gamma 90.00
loop_
_atom_site_label
_atom_site_type_symbol
_atom_site_fract_x
_atom_site_fract_y
_atom_site_fract_z
_atom_site_occupancy
Cd1 Cd 0.000 0.000 0.000 1
In1 In 0.000 0.236 0.656 1
In2 In 0.000 0.500 0.399 1
In3 In 0.241 0.000 0.368 1
Hg1 Hg 0.000 0.500 0.120 1
```



Entry 6:
Structure and calculated powder diffractogram of LaDyY6Ho2 (a crystal structure in Alexandria, relaxed with PBE; Cu Kα (weighted mean of Kα1 and Kα2)).

Main lines, in order of falling intensity (2θ from 10° to 90°):
- 2θ = 30.69°, intensity 1000, hkl 0 2 3
- 2θ = 30.92°, intensity 988, hkl 2 2 2
- 2θ = 30.33°, intensity 726, hkl 3 1 -1
- 2θ = 31.54°, intensity 637, hkl 2 4 -1
- 2θ = 28.37°, intensity 601, hkl 1 3 2
- 2θ = 34.06°, intensity 573, hkl 1 3 -3
- 2θ = 31.25°, intensity 563, hkl 1 5 0
- 2θ = 28.20°, intensity 451, hkl 2 2 -2
- 2θ = 32.37°, intensity 437, hkl 1 5 -1
- 2θ = 11.75°, intensity 319, hkl 0 2 0

Atomic structure:
```
data_LaDyY6Ho2
_chemical_formula_sum 'La4 Dy4 Y24 Ho8'
_symmetry_space_group_name_H-M 'C 1 2/c 1'
_symmetry_Int_Tables_number 15
_symmetry_space_group_name_Hall '-C 2yc'
_cell_length_a 9.225
_cell_length_b 15.062
_cell_length_c 9.534
_cell_angle_alpha 90.00
_cell_angle_beta 96.15
_cell_angle_gamma 90.00
loop_
_atom_site_label
_atom_site_type_symbol
_atom_site_fract_x
_atom_site_fract_y
_atom_site_fract_z
_atom_site_occupancy
La1 La 0.000 0.031 0.250 1
Dy1 Dy 0.000 0.411 0.750 1
Y1 Y 0.063 0.184 0.942 1
Y2 Y 0.096 0.389 0.114 1
Y3 Y 0.214 0.226 0.319 1
Ho1 Ho 0.249 0.448 0.448 1
```



Entry 7:
Structure and calculated powder diffractogram of BaLi10Cd3 (a crystal structure in Alexandria, relaxed with PBE; Cu Kα (weighted mean of Kα1 and Kα2)).

Main lines, in order of falling intensity (2θ from 10° to 90°):
- 2θ = 21.83°, intensity 1000, hkl 2 2 2
- 2θ = 42.52°, intensity 515, hkl 6 2 2
- 2θ = 25.26°, intensity 507, hkl 4 0 0
- 2θ = 36.03°, intensity 431, hkl 4 4 0
- 2θ = 56.93°, intensity 187, hkl 6 6 2
- 2θ = 58.55°, intensity 154, hkl 8 4 0
- 2θ = 44.51°, intensity 136, hkl 4 4 4
- 2θ = 64.77°, intensity 130, hkl 8 4 4
- 2θ = 69.24°, intensity 121, hkl 10 2 2
- 2θ = 80.61°, intensity 120, hkl 10 6 2

Atomic structure:
```
data_BaLi10Cd3
_chemical_formula_sum 'Ba8 Li80 Cd24'
_symmetry_space_group_name_H-M 'F m -3 m'
_symmetry_Int_Tables_number 225
_symmetry_space_group_name_Hall '-F 4 2 3'
_cell_length_a 14.102
_cell_length_b 14.102
_cell_length_c 14.102
_cell_angle_alpha 90.00
_cell_angle_beta 90.00
_cell_angle_gamma 90.00
loop_
_atom_site_label
_atom_site_type_symbol
_atom_site_fract_x
_atom_site_fract_y
_atom_site_fract_z
_atom_site_occupancy
Ba1 Ba 0.250 0.250 0.250 1
Li1 Li 0.000 0.173 0.173 1
Li2 Li 0.108 0.108 0.392 1
Cd1 Cd 0.000 0.000 0.266 1
```



Entry 8:
Structure and calculated powder diffractogram of KTl6Pb (a crystal structure in Alexandria, relaxed with PBE; Cu Kα (weighted mean of Kα1 and Kα2)).

Main lines, in order of falling intensity (2θ from 10° to 90°):
- 2θ = 32.29°, intensity 1000, hkl 1 2 2
- 2θ = 31.52°, intensity 339, hkl 2 0 0
- 2θ = 33.99°, intensity 336, hkl 1 0 4
- 2θ = 56.62°, intensity 211, hkl 3 2 2
- 2θ = 29.98°, intensity 191, hkl 0 0 4
- 2θ = 62.17°, intensity 177, hkl 2 2 6
- 2θ = 28.09°, intensity 171, hkl 0 2 2
- 2θ = 52.09°, intensity 149, hkl 0 2 6
- 2θ = 42.72°, intensity 116, hkl 2 2 2
- 2θ = 60.53°, intensity 113, hkl 1 4 4

Atomic structure:
```
data_KTl6Pb
_chemical_formula_sum 'K2 Tl12 Pb2'
_symmetry_space_group_name_H-M 'A m m 2'
_symmetry_Int_Tables_number 38
_symmetry_space_group_name_Hall 'A 2 -2'
_cell_length_a 5.676
_cell_length_b 7.510
_cell_length_c 11.917
_cell_angle_alpha 90.00
_cell_angle_beta 90.00
_cell_angle_gamma 90.00
loop_
_atom_site_label
_atom_site_type_symbol
_atom_site_fract_x
_atom_site_fract_y
_atom_site_fract_z
_atom_site_occupancy
K1 K 0.000 0.000 0.000 1
Tl1 Tl 0.000 0.000 0.521 1
Tl2 Tl 0.000 0.234 0.261 1
Tl3 Tl 0.500 0.000 0.189 1
Tl4 Tl 0.500 0.226 0.440 1
Pb1 Pb 0.500 0.000 0.700 1
```



Please write out number 7 again, unchanged.
Structure and calculated powder diffractogram of BaLi10Cd3 (a crystal structure in Alexandria, relaxed with PBE; Cu Kα (weighted mean of Kα1 and Kα2)).

Main lines, in order of falling intensity (2θ from 10° to 90°):
- 2θ = 21.83°, intensity 1000, hkl 2 2 2
- 2θ = 42.52°, intensity 515, hkl 6 2 2
- 2θ = 25.26°, intensity 507, hkl 4 0 0
- 2θ = 36.03°, intensity 431, hkl 4 4 0
- 2θ = 56.93°, intensity 187, hkl 6 6 2
- 2θ = 58.55°, intensity 154, hkl 8 4 0
- 2θ = 44.51°, intensity 136, hkl 4 4 4
- 2θ = 64.77°, intensity 130, hkl 8 4 4
- 2θ = 69.24°, intensity 121, hkl 10 2 2
- 2θ = 80.61°, intensity 120, hkl 10 6 2

Atomic structure:
```
data_BaLi10Cd3
_chemical_formula_sum 'Ba8 Li80 Cd24'
_symmetry_space_group_name_H-M 'F m -3 m'
_symmetry_Int_Tables_number 225
_symmetry_space_group_name_Hall '-F 4 2 3'
_cell_length_a 14.102
_cell_length_b 14.102
_cell_length_c 14.102
_cell_angle_alpha 90.00
_cell_angle_beta 90.00
_cell_angle_gamma 90.00
loop_
_atom_site_label
_atom_site_type_symbol
_atom_site_fract_x
_atom_site_fract_y
_atom_site_fract_z
_atom_site_occupancy
Ba1 Ba 0.250 0.250 0.250 1
Li1 Li 0.000 0.173 0.173 1
Li2 Li 0.108 0.108 0.392 1
Cd1 Cd 0.000 0.000 0.266 1
```